Calculated PXRD pattern of Cd3Pb5O12 for Cu Kα (weighted mean of Kα1 and Kα2), from a cell relaxed with PBE.

Top 8 peaks for 5° ≤ 2θ ≤ 70°, most intense first:
30.6 deg, intensity 100; 54.5 deg, intensity 46; 43.9 deg, intensity 23; 63.8 deg, intensity 14; 21.5 deg, intensity 6; 49.4 deg, intensity 3; 15.2 deg, intensity 2; 40.9 deg, intensity 2

```
20
Lattice="-4.127 4.127 4.127 4.127 -4.127 4.127 4.127 4.127 -4.127" Properties=species:S:1:pos:R:3 pbc="T T T"
Cd 4.127 0.000 0.000
Cd 0.000 4.127 0.000
Cd 0.000 0.000 4.127
Pb 0.000 0.000 0.000
Pb 2.064 2.064 -2.064
Pb 2.064 -2.064 2.064
Pb -2.064 2.064 2.064
Pb 2.064 2.064 2.064
O 4.127 2.610 -1.642
O 2.485 0.000 1.517
O 5.769 0.000 1.517
O 1.517 2.485 0.000
O 2.610 -1.642 4.127
O 0.000 1.517 2.485
O 4.127 2.610 1.642
O 1.517 5.769 0.000
O 2.610 1.642 4.127
O -1.642 4.127 2.610
O 1.642 4.127 2.610
O 0.000 1.517 5.769
```